# BaMg14TiO16
Computed PXRD pattern, Cu Kα. Input: a DFT-relaxed cell (PBE, the Materials Project).

Atomic structure:
```
data_BaMg14TiO16
_space_group_name_H-M_alt 'P m m m'
_space_group_IT_number 47
_space_group_name_Hall '-P 2 2'
_cell_length_a 4.5315
_cell_length_b 8.7831
_cell_length_c 8.7919
_cell_angle_alpha 90.00
_cell_angle_beta 90.00
_cell_angle_gamma 90.00
loop_
_atom_site_label
_atom_site_type_symbol
_atom_site_fract_x
_atom_site_fract_y
_atom_site_fract_z
Ba1 Ba 0.0000 0.0000 0.0000
Mg1 Mg 0.0000 0.2624 0.2558
Mg2 Mg 0.0000 0.5000 0.0000
Mg3 Mg 0.0000 0.5000 0.5000
Mg4 Mg 0.5000 0.0000 0.2612
Mg5 Mg 0.5000 0.2530 0.5000
Mg6 Mg 0.5000 0.2645 0.0000
Mg7 Mg 0.5000 0.5000 0.2519
Ti1 Ti 0.0000 0.0000 0.5000
O1 O 0.0000 0.0000 0.2786
O2 O 0.0000 0.2556 0.5000
O3 O 0.0000 0.2809 0.0000
O4 O 0.0000 0.5000 0.2580
O5 O 0.5000 0.0000 0.0000
O6 O 0.5000 0.0000 0.5000
O7 O 0.5000 0.2493 0.2500
O8 O 0.5000 0.5000 0.0000
O9 O 0.5000 0.5000 0.5000
```

Principal peaks in the range 5 to 70 degrees two-theta, low angle first:
10.07 deg, d 8.786, I 36; 20.21 deg, d 4.394, I 18; 22.07 deg, d 4.027, I 16; 22.62 deg, d 3.930, I 17; 30.10 deg, d 2.969, I 19; 35.02 deg, d 2.562, I 38; 39.78 deg, d 2.266, I 56; 41.09 deg, d 2.197, I 100; 58.52 deg, d 1.577, I 60; 59.51 deg, d 1.553, I 29

***

# Ba3MgTi2O7
Computed PXRD pattern, Cu Kα. Input: a DFT-relaxed cell (PBE, the Materials Project).

Atomic structure:
```
data_Ba3MgTi2O7
_space_group_name_H-M_alt 'P 1'
_space_group_IT_number 1
_space_group_name_Hall 'P 1'
_cell_length_a 3.9175
_cell_length_b 3.9194
_cell_length_c 15.1091
_cell_angle_alpha 84.96
_cell_angle_beta 84.87
_cell_angle_gamma 89.92
loop_
_atom_site_label
_atom_site_type_symbol
_atom_site_fract_x
_atom_site_fract_y
_atom_site_fract_z
Ba1 Ba 0.0000 0.0000 0.0000
Ba2 Ba 0.0980 0.0965 0.7166
Ba3 Ba 0.4376 0.4442 0.2125
Mg1 Mg 0.1854 0.1829 0.4647
Ti1 Ti 0.5459 0.5456 0.8655
Ti2 Ti 0.6547 0.6526 0.5565
O1 O 0.0534 0.5527 0.8445
O2 O 0.1642 0.6631 0.5268
O3 O 0.5036 0.5031 0.9875
O4 O 0.5537 0.0522 0.8446
O5 O 0.6119 0.6100 0.6776
O6 O 0.6650 0.1615 0.5277
O7 O 0.9305 0.9212 0.1674
```

Principal peaks in the range 5 to 70 degrees two-theta, low angle first:
5.90 deg, d 14.990, I 100; 23.03 deg, d 3.862, I 14; 23.74 deg, d 3.748, I 27; 27.72 deg, d 3.218, I 37; 30.28 deg, d 2.951, I 48; 31.59 deg, d 2.832, I 24; 32.34 deg, d 2.768, I 53; 40.51 deg, d 2.227, I 17; 46.38 deg, d 1.958, I 25; 46.53 deg, d 1.952, I 16

***

# BaMg14TiO16
Computed PXRD pattern, Cu Kα. Input: a DFT-relaxed cell (PBE, the Materials Project).

Atomic structure:
```
data_BaMg14TiO16
_space_group_name_H-M_alt 'P 4/m m m'
_space_group_IT_number 123
_space_group_name_Hall '-P 4 2'
_cell_length_a 8.7696
_cell_length_b 8.7696
_cell_length_c 4.4983
_cell_angle_alpha 90.00
_cell_angle_beta 90.00
_cell_angle_gamma 90.00
loop_
_atom_site_label
_atom_site_type_symbol
_atom_site_fract_x
_atom_site_fract_y
_atom_site_fract_z
Ba1 Ba 0.0000 0.0000 0.0000
Mg1 Mg 0.0000 0.2644 0.5000
Mg2 Mg 0.0000 0.5000 0.0000
Mg3 Mg 0.2504 0.5000 0.5000
Mg4 Mg 0.2571 0.2571 0.0000
Ti1 Ti 0.5000 0.5000 0.0000
O1 O 0.0000 0.0000 0.5000
O2 O 0.0000 0.2808 0.0000
O3 O 0.0000 0.5000 0.5000
O4 O 0.2510 0.2510 0.5000
O5 O 0.2528 0.5000 0.0000
O6 O 0.5000 0.5000 0.5000
```

Principal peaks in the range 5 to 70 degrees two-theta, low angle first:
10.09 deg, d 8.770, I 19; 14.28 deg, d 6.201, I 26; 20.25 deg, d 4.385, I 18; 24.45 deg, d 3.641, I 21; 28.43 deg, d 3.140, I 15; 35.15 deg, d 2.553, I 39; 40.09 deg, d 2.249, I 56; 41.17 deg, d 2.192, I 100; 58.82 deg, d 1.570, I 61; 59.64 deg, d 1.550, I 28

***

# Ba3MgTi2O7
Computed PXRD pattern, Cu Kα. Input: a DFT-relaxed cell (PBE, the Materials Project).

Atomic structure:
```
data_Ba3MgTi2O7
_space_group_name_H-M_alt 'C 1 m 1'
_space_group_IT_number 8
_space_group_name_Hall 'C -2y'
_cell_length_a 7.0501
_cell_length_b 20.0677
_cell_length_c 4.0133
_cell_angle_alpha 90.00
_cell_angle_beta 123.79
_cell_angle_gamma 90.00
loop_
_atom_site_label
_atom_site_type_symbol
_atom_site_fract_x
_atom_site_fract_y
_atom_site_fract_z
Ba1 Ba 0.0000 0.0000 0.0000
Ba2 Ba 0.4330 0.3153 0.4121
Mg1 Mg 0.4951 0.0000 0.9843
Ti1 Ti 0.4768 0.1148 0.4764
O1 O 0.0596 0.4034 0.0318
O2 O 0.1249 0.3049 0.6074
O3 O 0.1659 0.1242 0.1340
O4 O 0.4671 0.0000 0.4546
```

Principal peaks in the range 5 to 70 degrees two-theta, low angle first:
25.89 deg, d 3.441, I 49; 26.68 deg, d 3.342, I 49; 26.93 deg, d 3.311, I 100; 28.19 deg, d 3.165, I 56; 28.58 deg, d 3.123, I 56; 30.51 deg, d 2.930, I 49; 40.15 deg, d 2.246, I 22; 40.72 deg, d 2.216, I 23; 45.20 deg, d 2.006, I 59; 53.20 deg, d 1.722, I 23

***

# BaMg6TiO8
Computed PXRD pattern, Cu Kα. Input: a DFT-relaxed cell (PBE, the Materials Project).

Atomic structure:
```
data_BaMg6TiO8
_space_group_name_H-M_alt 'P 4/m m m'
_space_group_IT_number 123
_space_group_name_Hall '-P 4 2'
_cell_length_a 4.6457
_cell_length_b 4.6457
_cell_length_c 8.9281
_cell_angle_alpha 90.00
_cell_angle_beta 90.00
_cell_angle_gamma 90.00
loop_
_atom_site_label
_atom_site_type_symbol
_atom_site_fract_x
_atom_site_fract_y
_atom_site_fract_z
Ba1 Ba 0.0000 0.0000 0.0000
Mg1 Mg 0.0000 0.0000 0.5000
Mg2 Mg 0.0000 0.5000 0.2691
Mg3 Mg 0.5000 0.5000 0.5000
Ti1 Ti 0.5000 0.5000 0.0000
O1 O 0.0000 0.0000 0.2831
O2 O 0.0000 0.5000 0.0000
O3 O 0.0000 0.5000 0.5000
O4 O 0.5000 0.5000 0.2577
```

Principal peaks in the range 5 to 70 degrees two-theta, low angle first:
9.91 deg, d 8.928, I 67; 19.89 deg, d 4.464, I 23; 21.56 deg, d 4.121, I 25; 27.15 deg, d 3.285, I 20; 28.96 deg, d 3.083, I 35; 33.88 deg, d 2.646, I 54; 38.77 deg, d 2.323, I 100; 40.41 deg, d 2.232, I 40; 55.99 deg, d 1.642, I 30; 57.24 deg, d 1.609, I 51

***

What did the third record say?
# BaMg14TiO16
Computed PXRD pattern, Cu Kα. Input: a DFT-relaxed cell (PBE, the Materials Project).

Atomic structure:
```
data_BaMg14TiO16
_space_group_name_H-M_alt 'P 4/m m m'
_space_group_IT_number 123
_space_group_name_Hall '-P 4 2'
_cell_length_a 8.7696
_cell_length_b 8.7696
_cell_length_c 4.4983
_cell_angle_alpha 90.00
_cell_angle_beta 90.00
_cell_angle_gamma 90.00
loop_
_atom_site_label
_atom_site_type_symbol
_atom_site_fract_x
_atom_site_fract_y
_atom_site_fract_z
Ba1 Ba 0.0000 0.0000 0.0000
Mg1 Mg 0.0000 0.2644 0.5000
Mg2 Mg 0.0000 0.5000 0.0000
Mg3 Mg 0.2504 0.5000 0.5000
Mg4 Mg 0.2571 0.2571 0.0000
Ti1 Ti 0.5000 0.5000 0.0000
O1 O 0.0000 0.0000 0.5000
O2 O 0.0000 0.2808 0.0000
O3 O 0.0000 0.5000 0.5000
O4 O 0.2510 0.2510 0.5000
O5 O 0.2528 0.5000 0.0000
O6 O 0.5000 0.5000 0.5000
```

Principal peaks in the range 5 to 70 degrees two-theta, low angle first:
10.09 deg, d 8.770, I 19; 14.28 deg, d 6.201, I 26; 20.25 deg, d 4.385, I 18; 24.45 deg, d 3.641, I 21; 28.43 deg, d 3.140, I 15; 35.15 deg, d 2.553, I 39; 40.09 deg, d 2.249, I 56; 41.17 deg, d 2.192, I 100; 58.82 deg, d 1.570, I 61; 59.64 deg, d 1.550, I 28

***

Number 5 is which compound? BaMg6TiO8

***

What is the formula in the fourth record? Ba3MgTi2O7